The following is a simulated powder XRD pattern of HfAgI2N. It was derived from the PBE geometry in Alexandria, using a wavelength of 1.5418 Å.

Peak list (10 most intense, 2θ = 15–90°, by intensity)
| two_theta | I_rel |
| --- | --- |
| 30.2 | 100 |
| 27.0 | 65 |
| 41.0 | 43 |
| 43.2 | 37 |
| 55.7 | 34 |
| 37.9 | 32 |
| 22.4 | 31 |
| 31.0 | 25 |
| 64.7 | 22 |
| 88.8 | 19 |

Structural model:
Unit cell a=5.9212 b=5.9212 c=3.9741 alpha=90.00 beta=90.00 gamma=90.00
Atoms (fractional coordinates):
1 Hf 0.0000 0.0000 0.0000
2 Ag 0.5000 0.5000 0.5000
3 I 0.0000 0.5000 0.0000
4 I 0.5000 0.0000 0.0000
5 N 0.0000 0.0000 0.5000